Pu2ZnPdO8: computed powder diffractogram (Cu Ka), based on DFT lattice parameters and positions (PBE).

Most intense lines, 10° ≤ 2θ ≤ 90°, sorted by position:
| 2θ (°) | I/Imax |
| --- | --- |
| 18.07 | 47 |
| 26.86 | 88 |
| 31.06 | 100 |
| 38.36 | 24 |
| 50.15 | 67 |
| 64.82 | 31 |

Cell and atoms:
```
Pu2ZnPdO8
1.0
-3.319 3.319 3.645
3.319 -3.319 3.645
3.319 3.319 -3.645
Pu Zn Pd O
2 1 1 8
Cartesian
0.000 0.000 0.000
0.000 3.319 1.823
0.000 0.000 3.645
3.319 0.000 1.823
2.060 0.000 0.252
4.577 0.000 0.252
3.319 2.033 -1.521
3.319 -1.258 3.393
0.000 1.286 2.125
3.319 1.258 3.393
2.033 3.319 1.521
1.286 0.000 5.166
```